Structure and theoretical powder XRD pattern of SmGaO3 (a structure optimized by DFT (GGA-PBE); Cu Kα X-rays).

Main lines, in order of falling intensity (10° ≤ 2θ ≤ 80°):
d/Å	I_rel	h k l
2.897	100	0 2 1
2.994	78	1 1 0
2.683	53	1 1 1
2.126	50	1 1 2
3.019	44	0 0 2
6.604	41	0 1 0
2.194	39	1 2 1
1.761	38	1 3 1
4.456	37	0 1 1
1.530	32	1 2 3

Lattice parameters (Å, degrees): 3.359 6.604 6.038 90.00 90.00 90.00
Space group Pmc2_1 (No. 26)
Asymmetric unit:
Sm1 0.000 0.109 0.000 [2 per cell]
Ga1 0.500 0.377 0.380 [2 per cell]
O1 0.000 0.255 0.396 [2 per cell]
O2 0.500 0.046 0.728 [2 per cell]
O3 0.500 0.390 0.054 [2 per cell]

Structure and theoretical powder XRD pattern of Sr2SmGa2O6 (a structure optimized by DFT (GGA-PBE); Cu Kα X-rays).

Main lines, in order of falling intensity (10° ≤ 2θ ≤ 80°):
d/Å	I_rel	h k l
3.050	100	1 1 0
6.999	96	0 0 1
2.917	86	0 1 2
2.108	44	2 0 2
1.734	38	1 2 2
2.796	38	2 -1 1
4.216	33	1 0 1
1.761	29	3 0 0
2.134	23	0 1 3
1.352	22	4 -1 2

Lattice parameters (Å, degrees): 6.0998 6.0998 6.9989 90.00 90.00 120.00
Space group P-3 (No. 147)
Asymmetric unit:
Sr1 0.3333 0.6667 0.1703 [2 per cell]
Sm1 0.0000 0.0000 0.0000 [1 per cell]
Ga1 0.3333 0.6667 0.7344 [2 per cell]
O1 0.0816 0.7205 0.8256 [6 per cell]

Structure and theoretical powder XRD pattern of Ga4SnO7 (a structure optimized by DFT (GGA-PBE); Cu Kα X-rays).

Main lines, in order of falling intensity (10° ≤ 2θ ≤ 80°):
d/Å	I_rel	h k l
3.253	100	2 1 1
4.822	56	1 0 1
3.351	48	3 0 1
2.814	47	4 1 0
3.410	42	3 1 0
1.472	34	4 1 3
1.581	32	4 3 0
2.703	29	0 2 0
3.599	29	1 1 1
2.411	27	2 0 2

Lattice parameters (Å, degrees): 13.182 5.406 5.182 90.00 90.00 90.00
Space group Pmn2_1 (No. 31)
Asymmetric unit:
Ga1 0.120 0.170 0.000 [4 per cell]
Ga2 0.246 0.679 0.978 [4 per cell]
Sn1 0.000 0.667 0.663 [2 per cell]
O1 0.000 0.322 0.893 [2 per cell]
O2 0.121 0.835 0.907 [4 per cell]
O3 0.141 0.189 0.345 [4 per cell]
O4 0.224 0.359 0.834 [4 per cell]

Structure and theoretical powder XRD pattern of GaSnTeO6 (a structure optimized by DFT (GGA-PBE); Cu Kα X-rays).

Main lines, in order of falling intensity (10° ≤ 2θ ≤ 80°):
d/Å	I_rel	h k l
3.224	100	1 0 2
1.726	44	1 1 4
2.607	42	1 1 0
2.027	27	2 0 2
1.600	26	2 1 2
1.505	17	3 0 0
1.208	11	4 -1 2
1.453	9	1 0 6
2.269	9	1 1 2
1.260	8	3 0 4

Lattice parameters (Å, degrees): 5.2138 5.2138 9.2110 90.00 90.00 120.00
Space group P-31c (No. 163)
Asymmetric unit:
Ga1 0.3333 0.6667 0.2500 [2 per cell]
Sn1 0.0000 0.0000 0.0000 [2 per cell]
Te1 0.3333 0.6667 0.7500 [2 per cell]
O1 0.0028 0.3457 0.1314 [12 per cell]